1.
Diffraction record for CdCu3Ge. The X-ray diffraction stick pattern is theoretical, not measured: it uses a crystal structure in Alexandria, relaxed with GGA-PBE and Cu Kα (λ = 1.5418 Å).
Lines closer than 0.1° are merged.

Atomic structure:
```
data_CdCu3Ge
_chemical_formula_sum 'Cd4 Cu12 Ge4'
_space_group_name_H-M_alt 'I m m a'
_space_group_IT_number 74
_space_group_name_Hall '-I 2b 2'
_cell_length_a 7.5206
_cell_length_b 9.1178
_cell_length_c 5.2275
_cell_angle_alpha 90.00
_cell_angle_beta 90.00
_cell_angle_gamma 90.00
loop_
_atom_site_label
_atom_site_fract_x
_atom_site_fract_y
_atom_site_fract_z
Cd1 0.0000 0.2500 0.1015
Cu1 0.0000 0.2500 0.6052
Cu2 0.2500 0.0878 0.7500
Ge1 0.0000 0.0000 0.5000
```

Main lines, by angle (10° ≤ 2θ ≤ 90°):
3.125 Å, I 64; 2.898 Å, I 100; 2.627 Å, I 42; 2.383 Å, I 74; 2.146 Å, I 60; 1.949 Å, I 74; 1.916 Å, I 37; 1.880 Å, I 45

2.
Diffraction record for CdCu4Ge. The X-ray diffraction stick pattern is theoretical, not measured: it uses a crystal structure in Alexandria, relaxed with GGA-PBE and Cu Kα (λ = 1.5418 Å).
Lines closer than 0.1° are merged.

Atomic structure:
```
data_CdCu4Ge
_chemical_formula_sum 'Cd4 Cu16 Ge4'
_space_group_name_H-M_alt 'F -4 3 m'
_space_group_IT_number 216
_space_group_name_Hall 'F -4 2 3'
_cell_length_a 7.0348
_cell_length_b 7.0348
_cell_length_c 7.0348
_cell_angle_alpha 90.00
_cell_angle_beta 90.00
_cell_angle_gamma 90.00
loop_
_atom_site_label
_atom_site_fract_x
_atom_site_fract_y
_atom_site_fract_z
Cd1 0.0000 0.0000 0.0000
Cu1 0.1249 0.1249 0.6249
Ge1 0.2500 0.2500 0.2500
```

Main lines, by angle (10° ≤ 2θ ≤ 90°):
3.517 Å, I 2; 2.487 Å, I 39; 2.121 Å, I 100; 2.031 Å, I 30; 1.436 Å, I 13; 1.354 Å, I 29; 1.244 Å, I 23; 1.112 Å, I 6